(1)
Diffraction record for BaHo2NiO5. The powder X-ray diffraction pattern is calculated, not measured: it uses a PBE+U-relaxed structure and a wavelength of 1.5418 Å.
Intensities are scaled so that the largest is 100.

Structure:
Cell lengths 3.7894, 5.7851, 11.3822 Å; angles 90.00, 90.00, 90.00 degrees
Space group Immm (No. 71)
One atom of each set of equivalent atoms:
Ba1 0.0000 0.0000 0.0000 (multiplicity 2)
Ho1 0.0000 0.5000 0.2034 (multiplicity 4)
Ni1 0.0000 0.0000 0.5000 (multiplicity 2)
O1 0.0000 0.2400 0.3495 (multiplicity 8)
O2 0.0000 0.5000 0.0000 (multiplicity 2)

Main lines, in order of falling intensity (15° ≤ 2θ ≤ 90°):
2θ/deg  Rel. int.  (hkl)
32.33  100.0  1 1 2
28.13  39.4  0 1 3
30.91  30.9  0 2 0
55.88  21.6  1 3 2
48.00  18.7  2 0 0
56.92  16.3  1 2 5

=====

(2)
Diffraction record for Li9Mn2Co5O16. The powder X-ray diffraction pattern is calculated, not measured: it uses a PBE+U-relaxed structure and a wavelength of 1.5418 Å.
Intensities are scaled so that the largest is 100.

Structure:
Cell lengths 21.1568, 2.9203, 9.8481 Å; angles 90.00, 107.49, 90.00 degrees
Space group Cm (No. 8)
One atom of each set of equivalent atoms:
Li1 0.0000 0.0000 0.0000 (multiplicity 2)
Li2 0.0015 0.5000 0.4781 (multiplicity 2)
Li3 0.1251 0.0000 0.6147 (multiplicity 2)
Li4 0.1285 0.5000 0.1185 (multiplicity 2)
Li5 0.2507 0.5000 0.7450 (multiplicity 2)
Li6 0.2553 0.0000 0.2217 (multiplicity 2)
Li7 0.3138 0.5000 0.0531 (multiplicity 2)
Li8 0.3698 0.0000 0.8838 (multiplicity 2)
Li9 0.3766 0.5000 0.3532 (multiplicity 2)
Mn1 0.0654 0.5000 0.8027 (multiplicity 2)
Mn2 0.3138 0.0000 0.5529 (multiplicity 2)
Co1 0.0599 0.0000 0.2986 (multiplicity 2)
Co2 0.1859 0.5000 0.4216 (multiplicity 2)
Co3 0.1988 0.0000 0.9324 (multiplicity 2)
Co4 0.4287 0.0000 0.1716 (multiplicity 2)
Co5 0.4392 0.5000 0.6813 (multiplicity 2)
O1 0.0339 0.5000 0.1588 (multiplicity 2)
O2 0.0375 0.0000 0.6634 (multiplicity 2)
O3 0.0909 0.0000 0.9383 (multiplicity 2)
O4 0.0974 0.5000 0.4512 (multiplicity 2)
O5 0.1525 0.5000 0.7826 (multiplicity 2)
O6 0.1584 0.0000 0.2827 (multiplicity 2)
O7 0.2157 0.5000 0.0732 (multiplicity 2)
O8 0.2235 0.0000 0.5675 (multiplicity 2)
O9 0.2756 0.0000 0.8916 (multiplicity 2)
O10 0.2866 0.5000 0.4152 (multiplicity 2)
O11 0.3390 0.5000 0.6898 (multiplicity 2)
O12 0.3501 0.0000 0.2098 (multiplicity 2)
O13 0.4037 0.0000 0.5395 (multiplicity 2)
O14 0.4103 0.5000 0.0282 (multiplicity 2)
O15 0.4716 0.5000 0.3259 (multiplicity 2)
O16 0.4753 0.0000 0.8197 (multiplicity 2)

Main lines, in order of falling intensity (15° ≤ 2θ ≤ 90°):
2θ/deg  Rel. int.  (hkl)
18.28  100.0  2 0 -2
43.52  54.3  1 1 3
43.15  26.3  10 0 -2
35.95  25.5  3 1 1
62.78  21.1  9 1 -5
63.10  13.5  11 1 1

=====

Which formula does entry 2 have? Li9Mn2Co5O16